Record 1
For Rb2UZn2O6, the PBE geometry in Alexandria gives the computed X-ray diffraction stick pattern in this record (λ = 1.5418 Å (Cu Kα)).
Neutral-atom scattering factors, no anomalous dispersion.

Main lines, by angle (2θ from 10° to 90°):
h k l, Position (°2θ), intensity
1 0 1, 17.4, 32
0 1 2, 19.3, 25
1 1 0, 29.1, 96
0 1 5, 29.8, 100
2 0 5, 42.1, 33
3 0 0, 51.5, 20
1 2 5, 52.0, 45
3 1 5, 68.6, 18

Crystal structure
Unit cell a=6.1476 b=6.1476 c=18.1224 alpha=90.00 beta=90.00 gamma=120.00
Space group R-3m (No. 166, hexagonal axes)
Symmetry-distinct sites (fractional):
Rb: 0.0000 0.0000 0.2110 (multiplicity 6)
U: 0.0000 0.0000 0.0000 (multiplicity 3)
Zn: 0.0000 0.0000 0.4043 (multiplicity 6)
O: 0.0203 0.5101 0.7371 (multiplicity 18)

***

Record 2
For RbUZn2O6, the PBE geometry in Alexandria gives the computed X-ray diffraction stick pattern in this record (λ = 1.5418 Å (Cu Kα)).
Neutral-atom scattering factors, no anomalous dispersion.

Main lines, by angle (2θ from 10° to 90°):
h k l, Position (°2θ), intensity
1 1 0, 12.7, 31
1 1 1, 18.0, 47
2 0 0, 19.6, 48
0 0 2, 25.6, 100
1 3 0, 26.4, 50
2 2 1, 28.7, 80
1 3 1, 29.4, 45
4 2 1, 45.3, 36

Crystal structure
Unit cell a=9.0466 b=10.9070 c=6.9558 alpha=90.00 beta=90.07 gamma=90.00
Space group C2/c (No. 15)
Symmetry-distinct sites (fractional):
Rb: 0.0000 0.0766 0.2500 (multiplicity 4)
U: 0.0000 0.3144 0.7500 (multiplicity 4)
Zn: 0.1517 0.3806 0.2500 (multiplicity 8)
O: 0.9998 0.3200 0.0611 (multiplicity 8)
O: 0.1503 0.1758 0.7503 (multiplicity 8)
O: 0.1637 0.4409 0.7504 (multiplicity 8)